Record 1
Structure and computed X-ray diffraction stick pattern of LiSc2Pt3 (a crystal structure in OQMD, relaxed with GGA-PBE; Cu Kα, 1.54184 Å).

Unit cell a=3.3287 b=3.3287 c=8.8890 alpha=90.00 beta=90.00 gamma=90.00
Space group P4/mmm (No. 123)
Asymmetric unit:
Li 0.0000 0.0000 0.0000 x1
Sc 0.0000 0.0000 0.3182 x2
Pt 0.5000 0.5000 0.1546 x2
Pt 0.5000 0.5000 0.5000 x1

Top 6 peaks for 2θ from 5° to 70°, in order of falling intensity:
Position (°2θ), I (rel.), hkl
40.8, 100, 1 0 3
26.8, 80, 1 0 0
38.2, 62, 1 1 0
49.5, 31, 1 1 3
30.2, 29, 0 0 3
55.2, 22, 2 0 0



Record 2
Structure and computed X-ray diffraction stick pattern of Dy2YMg4Si4 (a crystal structure in OQMD, relaxed with GGA-PBE; Cu Kα, 1.54184 Å).

Unit cell a=4.0604 b=4.3172 c=26.6465 alpha=90.00 beta=90.00 gamma=90.00
Space group Immm (No. 71)
Asymmetric unit:
Dy 0.0000 0.0000 0.1406 x4
Y 0.0000 0.5000 0.0000 x2
Mg 0.0000 0.0000 0.4079 x4
Mg 0.0000 0.5000 0.2517 x4
Si 0.0000 0.0000 0.3140 x4
Si 0.0000 0.5000 0.4562 x4

Top 6 peaks for 2θ from 5° to 70°, in order of falling intensity:
Position (°2θ), I (rel.), hkl
33.1, 100, 1 1 4
32.2, 50, 1 0 7
22.9, 37, 0 1 3
42.8, 31, 0 1 11
53.8, 23, 1 2 7
13.3, 22, 0 0 4



Record 3
Structure and computed X-ray diffraction stick pattern of MgPd2W (a crystal structure in OQMD, relaxed with GGA-PBE; Cu Kα, 1.54184 Å).

Unit cell a=4.3085 b=4.3085 c=6.8055 alpha=90.00 beta=90.00 gamma=90.00
Space group I4/mmm (No. 139)
Asymmetric unit:
Mg 0.0000 0.0000 0.0000 x2
Pd 0.0000 0.5000 0.2500 x4
W 0.0000 0.0000 0.5000 x2

Top 6 peaks for 2θ from 5° to 70°, in order of falling intensity:
Position (°2θ), I (rel.), hkl
39.7, 100, 1 1 2
24.5, 47, 1 0 1
41.9, 43, 2 0 0
49.1, 15, 2 1 1
60.8, 14, 2 2 0
53.9, 10, 0 0 4



Record 4
Structure and computed X-ray diffraction stick pattern of TbY3C2S2 (a crystal structure in OQMD, relaxed with GGA-PBE; Cu Kα, 1.54184 Å).

Unit cell a=3.7158 b=3.7158 c=12.9413 alpha=90.00 beta=90.00 gamma=120.00
Space group P3m1 (No. 156)
Asymmetric unit:
Tb 0.0000 0.0000 0.0000 x1
Y 0.0000 0.0000 0.2917 x1
Y 0.6667 0.3333 0.4999 x1
Y 0.6667 0.3333 0.7910 x1
C 0.3333 0.6667 0.3961 x1
C 0.3333 0.6667 0.8957 x1
S 0.0000 0.0000 0.6458 x1
S 0.6667 0.3333 0.1466 x1

Top 6 peaks for 2θ from 5° to 70°, in order of falling intensity:
Position (°2θ), I (rel.), hkl
34.8, 100, 1 0 3
28.6, 33, 0 1 1
27.7, 31, 1 0 0
49.0, 30, 1 1 0
61.5, 19, 0 2 3
57.2, 17, 1 1 4



Record 5
Structure and computed X-ray diffraction stick pattern of YCuPbS3 (a crystal structure in OQMD, relaxed with GGA-PBE; Cu Kα, 1.54184 Å).

Unit cell a=3.9197 b=13.0195 c=10.2418 alpha=90.00 beta=90.00 gamma=90.00
Space group Cmcm (No. 63)
Asymmetric unit:
Y 0.0000 0.0000 0.0000 x4
Cu 0.0000 0.4681 0.2500 x4
Pb 0.0000 0.2468 0.7500 x4
S 0.0000 0.0753 0.2500 x4
S 0.0000 0.3618 0.0675 x8

Top 6 peaks for 2θ from 5° to 70°, in order of falling intensity:
Position (°2θ), I (rel.), hkl
32.0, 100, 1 3 1
35.5, 78, 1 1 3
22.1, 61, 0 2 2
25.3, 49, 1 1 1
40.8, 37, 1 3 3
17.3, 36, 0 0 2



Record 6
Structure and computed X-ray diffraction stick pattern of ErTm2Cu4Si4 (a crystal structure in OQMD, relaxed with GGA-PBE; Cu Kα, 1.54184 Å).

Unit cell a=4.0859 b=6.4971 c=13.5316 alpha=90.00 beta=90.00 gamma=90.00
Space group Immm (No. 71)
Asymmetric unit:
Er 0.0000 0.0000 0.0000 x2
Tm 0.0000 0.5000 0.1286 x4
Cu 0.0000 0.3087 0.3306 x8
Si 0.0000 0.0000 0.2165 x4
Si 0.0000 0.1855 0.5000 x4

Top 6 peaks for 2θ from 5° to 70°, in order of falling intensity:
Position (°2θ), I (rel.), hkl
35.9, 100, 1 2 1
37.2, 82, 1 1 4
46.5, 28, 0 3 3
44.3, 27, 2 0 0
66.2, 26, 2 3 3
24.0, 23, 0 1 3



Record 7
Structure and computed X-ray diffraction stick pattern of Nd3AlNiS7 (a crystal structure in OQMD, relaxed with GGA-PBE; Cu Kα, 1.54184 Å).

Unit cell a=10.0086 b=10.0086 c=5.9247 alpha=90.00 beta=90.00 gamma=120.00
Space group P6_3 (No. 173)
Asymmetric unit:
Nd 0.1384 0.3704 0.0000 x6
Al 0.3333 0.6667 0.4205 x2
Ni 0.0000 0.0000 0.2815 x2
S 0.0848 0.2258 0.5340 x6
S 0.0970 0.5816 0.2728 x6
S 0.3333 0.6667 0.7931 x2

Top 6 peaks for 2θ from 5° to 70°, in order of falling intensity:
Position (°2θ), I (rel.), hkl
25.5, 100, 2 0 1
40.5, 48, 3 1 1
36.7, 46, 2 0 2
18.1, 42, 1 0 1
27.2, 41, 1 2 0
34.5, 36, 3 0 1



Record 8
Structure and computed X-ray diffraction stick pattern of TmNb2Si2As (a crystal structure in OQMD, relaxed with GGA-PBE; Cu Kα, 1.54184 Å).

Unit cell a=3.9448 b=3.9448 c=7.7350 alpha=90.00 beta=90.00 gamma=90.00
Space group P4mm (No. 99)
Asymmetric unit:
Tm 0.0000 0.0000 0.0000 x1
Nb 0.0000 0.5000 0.3578 x2
Si 0.0000 0.0000 0.6163 x1
Si 0.5000 0.5000 0.1161 x1
As 0.5000 0.5000 0.6322 x1

Top 6 peaks for 2θ from 5° to 70°, in order of falling intensity:
Position (°2θ), I (rel.), hkl
34.2, 100, 1 1 1
39.8, 97, 1 1 2
25.3, 69, 1 0 1
46.0, 53, 2 0 0
32.4, 43, 1 0 2
34.8, 39, 0 0 3



Record 9
Structure and computed X-ray diffraction stick pattern of Er2SiSO4 (a crystal structure in OQMD, relaxed with GGA-PBE; Cu Kα, 1.54184 Å).

Unit cell a=10.6436 b=12.2782 c=6.8146 alpha=90.00 beta=90.00 gamma=90.00
Space group Cmce (No. 64)
Asymmetric unit:
Er 0.0000 0.1716 0.0234 x8
Er 0.2500 0.0604 0.7500 x8
Si 0.2500 0.1863 0.2500 x8
S 0.0000 0.0087 0.7453 x8
O 0.1261 0.2356 0.7650 x16
O 0.2246 0.1059 0.0634 x16

Top 6 peaks for 2θ from 5° to 70°, in order of falling intensity:
Position (°2θ), I (rel.), hkl
31.2, 100, 2 0 2
26.8, 93, 1 3 1
22.1, 71, 2 2 0
33.7, 69, 4 0 0
17.1, 64, 1 1 1
45.7, 48, 4 2 2



Record 10
Structure and computed X-ray diffraction stick pattern of Nb4Zn3W2C3 (a crystal structure in OQMD, relaxed with GGA-PBE; Cu Kα, 1.54184 Å).

Unit cell a=9.3793 b=5.4211 c=13.8593 alpha=90.00 beta=103.08 gamma=90.00
Space group C2/c (No. 15)
Asymmetric unit:
Nb 0.1136 0.0808 0.0915 x8
Nb 0.2184 0.0852 0.4085 x8
Zn 0.0000 0.1221 0.7500 x4
Zn 0.1477 0.4344 0.2493 x8
W 0.0584 0.4150 0.9197 x8
C 0.0833 0.2500 0.5000 x8
C 0.2500 0.2500 0.0000 x4

Top 6 peaks for 2θ from 5° to 70°, in order of falling intensity:
Position (°2θ), I (rel.), hkl
38.8, 100, 0 2 3
33.1, 23, 3 1 -1
59.1, 19, 6 0 -2
40.1, 19, 0 0 6
13.1, 11, 0 0 2
52.9, 10, 3 1 -7



Record 11
Structure and computed X-ray diffraction stick pattern of Ba2Pd17 (a crystal structure in OQMD, relaxed with GGA-PBE; Cu Kα, 1.54184 Å).

Unit cell a=9.2835 b=9.2835 c=9.0332 alpha=90.00 beta=90.00 gamma=120.00
Space group P6_3/mmc (No. 194)
Asymmetric unit:
Ba 0.0000 0.0000 0.2500 x2
Ba 0.3333 0.6667 0.2500 x2
Pd 0.0000 0.5000 0.0000 x6
Pd 0.0426 0.3712 0.7500 x12
Pd 0.1657 0.3314 0.0201 x12
Pd 0.3333 0.6667 0.6031 x4

Top 6 peaks for 2θ from 5° to 70°, in order of falling intensity:
Position (°2θ), I (rel.), hkl
39.1, 100, 3 0 2
43.9, 67, 2 2 2
38.8, 65, 2 2 0
37.3, 43, 2 0 3
39.9, 37, 0 0 4
33.4, 33, 3 0 0



Record 12
Structure and computed X-ray diffraction stick pattern of TlAgOs (a crystal structure in OQMD, relaxed with GGA-PBE; Cu Kα, 1.54184 Å).

Unit cell a=6.3567 b=6.3567 c=6.3567 alpha=90.00 beta=90.00 gamma=90.00
Space group F-43m (No. 216)
Asymmetric unit:
Tl 0.0000 0.0000 0.0000 x4
Ag 0.2500 0.2500 0.7500 x4
Os 0.2500 0.2500 0.2500 x4

Top 6 peaks for 2θ from 5° to 70°, in order of falling intensity:
Position (°2θ), I (rel.), hkl
40.1, 100, 2 2 0
24.3, 44, 1 1 1
47.4, 23, 3 1 1
58.0, 17, 4 0 0
63.8, 10, 3 3 1
28.1, 5, 2 0 0